[1]
The following is a calculated powder diffractogram of IrPt2Rh4. It was derived from a cell relaxed with PBE, using CuKα.
Peak positions follow from Bragg's law for the DFT cell and can differ from measured ones.

Atomic structure:
```
data_IrPt2Rh4
_chemical_formula_sum 'Ir4 Pt8 Rh16'
_space_group_name_H-M_alt 'C 1 2/c 1'
_space_group_IT_number 15
_space_group_name_Hall '-C 2yc'
_cell_length_a 5.4224
_cell_length_b 9.3585
_cell_length_c 9.1838
_cell_angle_alpha 90.00
_cell_angle_beta 107.16
_cell_angle_gamma 90.00
loop_
_atom_site_label
_atom_site_fract_x
_atom_site_fract_y
_atom_site_fract_z
Ir1 0.0000 0.0412 0.2500
Pt1 0.1230 0.3775 0.5022
Rh1 0.1288 0.1235 0.0035
Rh2 0.2489 0.2071 0.7527
```

The 6 most intense peaks (2θ = 10–80°), by angle:
2θ 24.32, I 19.1
2θ 39.77, I 16.5
2θ 41.15, I 31.1
2θ 43.79, I 100.0
2θ 69.53, I 13.1
2θ 76.83, I 18.9

[2]
The following is a calculated powder diffractogram of Pr2Sm3Er3. It was derived from a cell relaxed with PBE, using CuKα.
Peak positions follow from Bragg's law for the DFT cell and can differ from measured ones.

Atomic structure:
```
data_Pr2Sm3Er3
_chemical_formula_sum 'Pr4 Sm6 Er6'
_space_group_name_H-M_alt 'P m m n'
_space_group_IT_number 59
_cell_length_a 5.7829
_cell_length_b 14.6674
_cell_length_c 6.3240
_cell_angle_alpha 90.00
_cell_angle_beta 90.00
_cell_angle_gamma 90.00
loop_
_space_group_symop_operation_xyz
'x,y,z'
'-x,-y,-z'
'-x+1/2,-y+1/2,z'
'x+1/2,y+1/2,-z'
'x+1/2,-y,-z'
'-x+1/2,y,z'
'-x,y+1/2,-z'
'x,-y+1/2,z'
loop_
_atom_site_label
_atom_site_fract_x
_atom_site_fract_y
_atom_site_fract_z
Pr1 0.2500 0.1243 0.1712
Sm1 0.2500 0.2500 0.6692
Sm2 0.2500 0.6245 0.1642
Er1 0.2500 0.9998 0.6645
Er2 0.2500 0.7500 0.6599
```

The 6 most intense peaks (2θ = 10–80°), by angle:
2θ 28.16, I 23.6
2θ 30.93, I 24.8
2θ 32.21, I 100.0
2θ 42.31, I 15.8
2θ 55.82, I 21.1
2θ 59.87, I 15.1

[3]
The following is a calculated powder diffractogram of Y2Pu2S7. It was derived from a cell relaxed with PBE, using CuKα.
Peak positions follow from Bragg's law for the DFT cell and can differ from measured ones.

Atomic structure:
```
data_Y2Pu2S7
_chemical_formula_sum 'Y4 Pu4 S14'
_space_group_name_H-M_alt 'I m m 2'
_space_group_IT_number 44
_space_group_name_Hall 'I 2 -2'
_cell_length_a 3.9039
_cell_length_b 13.9714
_cell_length_c 8.5543
_cell_angle_alpha 90.00
_cell_angle_beta 90.00
_cell_angle_gamma 90.00
loop_
_atom_site_label
_atom_site_fract_x
_atom_site_fract_y
_atom_site_fract_z
Y1 0.0000 0.0000 0.0000
Y2 0.0000 0.5000 0.0413
Pu1 0.0000 0.2429 0.2402
S1 0.0000 0.0000 0.3190
S2 0.0000 0.1107 0.7218
S3 0.0000 0.3148 0.9352
S4 0.0000 0.3603 0.5505
```

The 6 most intense peaks (2θ = 10–80°), by angle:
2θ 12.67, I 58.8
2θ 24.40, I 99.6
2θ 25.07, I 58.6
2θ 28.19, I 76.6
2θ 36.07, I 100.0
2θ 41.28, I 66.2

[4]
The following is a calculated powder diffractogram of Nd7Ho4Sc. It was derived from a cell relaxed with PBE, using CuKα.
Peak positions follow from Bragg's law for the DFT cell and can differ from measured ones.

Atomic structure:
```
data_Nd7Ho4Sc
_chemical_formula_sum 'Nd7 Ho4 Sc1'
_space_group_name_H-M_alt 'P -1'
_space_group_IT_number 2
_space_group_name_Hall '-P 1'
_cell_length_a 6.2443
_cell_length_b 7.2622
_cell_length_c 8.9562
_cell_angle_alpha 90.05
_cell_angle_beta 103.37
_cell_angle_gamma 90.02
loop_
_atom_site_label
_atom_site_fract_x
_atom_site_fract_y
_atom_site_fract_z
Nd1 0.0000 0.0000 0.0000
Nd2 0.2192 0.5004 0.6660
Nd3 0.2275 0.0002 0.6627
Nd4 0.5000 0.2542 0.9999
Ho1 0.2755 0.2535 0.3297
Ho2 0.2756 0.7456 0.3297
Sc1 0.0000 0.5000 0.0000
```

The 6 most intense peaks (2θ = 10–80°), by angle:
2θ 30.78, I 76.1
2θ 31.61, I 100.0
2θ 31.78, I 47.9
2θ 33.29, I 43.2
2θ 33.36, I 84.0
2θ 60.36, I 44.5